The following is a theoretical PXRD pattern of Ba4ZnSn. It was derived from a structure optimized by DFT (PBE), using Cu Ka.
Kinematic intensities with the Lorentz-polarization factor, no thermal factor.

Atomic structure:
Unit cell a=11.0049 b=15.8080 c=7.9526 alpha=90.00 beta=125.03 gamma=90.00
Space group C2/c (No. 15)
Inequivalent atoms, fractional coordinates:
Ba (0.1248, 0.1832, 0.0949) (multiplicity 8)
Ba (0.1989, 0.4456, 0.2680) (multiplicity 8)
Zn (0.0000, 0.0009, 0.2500) (multiplicity 4)
Sn (0.0000, 0.3648, 0.7500) (multiplicity 4)

Principal peaks in the range 2θ = 10–80°, low angle first:
2θ (°)  I (rel.)  (hkl)
25.1  99  3 1 -1
26.4  100  0 4 1
27.9  65  2 4 -1
28.7  47  1 3 -2
29.9  48  1 5 0
31.5  54  3 3 -2
32.0  59  2 2 1
34.4  57  3 3 0

---

The following is a theoretical PXRD pattern of BaZn4Sn12. It was derived from a structure optimized by DFT (PBE), using Cu Ka.
Kinematic intensities with the Lorentz-polarization factor, no thermal factor.

Atomic structure:
Unit cell a=9.7423 b=9.7423 c=9.7423 alpha=90.00 beta=90.00 gamma=90.00
Space group Im-3 (No. 204)
Inequivalent atoms, fractional coordinates:
Ba (0.0000, 0.0000, 0.0000) (multiplicity 2)
Zn (0.2500, 0.2500, 0.2500) (multiplicity 8)
Sn (0.0000, 0.1579, 0.3507) (multiplicity 24)

Principal peaks in the range 2θ = 10–80°, low angle first:
2θ (°)  I (rel.)  (hkl)
29.0  100  3 1 0
34.4  38  3 2 1
41.5  17  4 2 0
45.6  22  4 2 2
47.6  37  4 1 3
56.7  11  6 0 0
64.9  18  6 3 1
74.1  12  7 0 3

---

The following is a theoretical PXRD pattern of Ba4Sr. It was derived from a structure optimized by DFT (PBE), using Cu Ka.
Kinematic intensities with the Lorentz-polarization factor, no thermal factor.

Atomic structure:
Unit cell a=7.0273 b=7.0273 c=21.4728 alpha=90.00 beta=90.00 gamma=120.00
Space group R-3m (No. 166, hexagonal axes)
Inequivalent atoms, fractional coordinates:
Ba (0.0000, 0.0000, 0.1003) (multiplicity 6)
Ba (0.0000, 0.0000, 0.3009) (multiplicity 6)
Sr (0.0000, 0.0000, 0.5000) (multiplicity 3)

Principal peaks in the range 2θ = 10–80°, low angle first:
2θ (°)  I (rel.)  (hkl)
25.4  100  1 1 0
36.2  20  2 0 5
44.7  43  3 0 0
52.1  14  2 2 0
58.8  19  3 1 5
65.0  4  0 4 5
71.0  16  4 1 0
71.1  5  1 1 15

---

The following is a theoretical PXRD pattern of BaSr. It was derived from a structure optimized by DFT (PBE), using Cu Ka.
Kinematic intensities with the Lorentz-polarization factor, no thermal factor.

Atomic structure:
Unit cell a=4.3445 b=7.1486 c=7.5480 alpha=90.00 beta=90.00 gamma=90.00
Space group Pmmn (No. 59, origin choice 2)
Inequivalent atoms, fractional coordinates:
Ba (0.2500, 0.2500, 0.0849) (multiplicity 2)
Sr (0.2500, 0.7500, 0.4179) (multiplicity 2)

Principal peaks in the range 2θ = 10–80°, low angle first:
2θ (°)  I (rel.)  (hkl)
23.6  23  1 0 1
24.9  27  0 2 0
26.7  100  0 1 2
34.6  17  1 2 1
41.5  20  2 0 0
45.0  24  0 3 2
49.0  25  2 2 0
50.1  12  2 1 2

---

The following is a theoretical PXRD pattern of BaSr5. It was derived from a structure optimized by DFT (PBE), using Cu Ka.
Kinematic intensities with the Lorentz-polarization factor, no thermal factor.

Atomic structure:
Unit cell a=7.4077 b=7.4077 c=7.0647 alpha=90.00 beta=90.00 gamma=120.00
Space group P-62m (No. 189)
Inequivalent atoms, fractional coordinates:
Ba (0.0000, 0.0000, 0.0000) (multiplicity 1)
Sr (0.0000, 0.6639, 0.5000) (multiplicity 3)
Sr (0.3333, 0.6667, 0.0000) (multiplicity 2)

Principal peaks in the range 2θ = 10–80°, low angle first:
2θ (°)  I (rel.)  (hkl)
24.0  23  1 1 0
25.2  27  0 0 2
27.2  100  1 1 1
35.1  17  1 1 2
42.3  20  3 0 0
45.7  24  1 1 3
49.8  25  3 0 2
51.0  17  2 2 1

---

The following is a theoretical PXRD pattern of Ba11Sr4. It was derived from a structure optimized by DFT (PBE), using Cu Ka.
Kinematic intensities with the Lorentz-polarization factor, no thermal factor.

Atomic structure:
Unit cell a=15.2592 b=15.2592 c=7.9994 alpha=90.00 beta=90.00 gamma=90.00
Space group P4_2/mnm (No. 136)
Inequivalent atoms, fractional coordinates:
Ba (0.0000, 0.0000, 0.0000) (multiplicity 2)
Ba (0.0633, 0.2645, 0.0000) (multiplicity 8)
Ba (0.1041, 0.1041, 0.5000) (multiplicity 4)
Ba (0.1849, 0.8151, 0.2506) (multiplicity 8)
Sr (0.0338, 0.3713, 0.5000) (multiplicity 8)

Principal peaks in the range 2θ = 10–80°, low angle first:
2θ (°)  I (rel.)  (hkl)
24.0  94  4 1 0
24.8  39  3 3 0
25.1  37  2 0 2
25.8  81  2 1 2
26.5  100  4 1 1
27.2  52  3 3 1
41.8  29  4 1 3
42.1  30  3 3 3